Simulated powder XRD pattern of CsNa4Bi4 for Cu Kα, from a DFT-relaxed cell (GGA-PBE, Alexandria).
No peak broadening, texture or thermal motion is included.

Cell and atoms:
```
18
Lattice="10.793 0.000 0.000 0.000 10.793 0.000 0.000 0.000 6.361" Properties=species:S:1:pos:R:3 pbc="T T T"
Cs 2.698 2.698 1.590
Cs 8.094 8.094 4.771
Na 1.155 6.659 0.774
Na 1.263 9.638 3.955
Na 4.134 6.551 3.955
Na 4.241 9.530 0.774
Na 6.551 1.263 5.588
Na 6.659 4.241 2.407
Na 9.530 1.155 2.407
Na 9.638 4.134 5.588
Bi 0.893 6.293 3.958
Bi 0.897 9.899 0.778
Bi 4.499 6.289 0.778
Bi 4.503 9.896 3.958
Bi 6.289 0.897 2.403
Bi 6.293 4.503 5.584
Bi 9.896 0.893 5.584
Bi 9.899 4.499 2.403
```

Top 12 peaks for 10 to 90 degrees two-theta, low angle first:
(2 0 0), 16.4 deg, 5.396 Å, I = 31
(1 1 1), 18.2 deg, 4.886 Å, I = 89
(1 2 1), 23.1 deg, 3.845 Å, I = 100
(1 3 0), 26.1 deg, 3.413 Å, I = 84
(2 2 1), 27.3 deg, 3.272 Å, I = 29
(1 0 2), 29.3 deg, 3.051 Å, I = 40
(3 3 0), 35.3 deg, 2.544 Å, I = 32
(4 1 1), 37.1 deg, 2.421 Å, I = 36
(3 0 2), 37.8 deg, 2.383 Å, I = 75
(4 2 1), 40.0 deg, 2.256 Å, I = 28
(3 2 2), 41.4 deg, 2.180 Å, I = 26
(3 6 2), 65.0 deg, 1.436 Å, I = 29